Theoretical powder XRD pattern of Ac5Ag2Rh2 for Cu Kα (weighted mean of Kα1 and Kα2), from DFT lattice parameters and positions (GGA-PBE).
Peak positions follow from Bragg's law for the DFT cell and can differ from measured ones.

Top 10 peaks for 15 to 90 degrees two-theta, by intensity:
2θ 34.68, I 1000, hkl 1 3 1
2θ 30.67, I 795, hkl 4 2 0
2θ 32.57, I 785, hkl 4 2 1
2θ 29.10, I 638, hkl 3 1 2
2θ 36.57, I 343, hkl 5 1 2
2θ 31.23, I 330, hkl 5 1 1
2θ 30.53, I 325, hkl 0 2 2
2θ 24.03, I 310, hkl 0 2 1
2θ 54.69, I 266, hkl 5 3 3
2θ 62.01, I 246, hkl 9 3 1

Structural model:
Lattice parameters (Å, degrees): 16.414 8.277 8.288 90.00 90.00 90.00
Space group Cmce (No. 64)
Symmetry-distinct sites (fractional):
1 Ac 0.000 0.000 0.000 x4
2 Ac 0.125 0.168 0.333 x16
3 Ag 0.209 0.000 0.000 x8
4 Rh 0.000 0.137 0.635 x8


Theoretical powder XRD pattern of Ac8AgRh4 for Cu Kα (weighted mean of Kα1 and Kα2), from DFT lattice parameters and positions (GGA-PBE).
Peak positions follow from Bragg's law for the DFT cell and can differ from measured ones.

Top 10 peaks for 15 to 90 degrees two-theta, by intensity:
2θ 27.02, I 1000, hkl 3 1 0
2θ 27.46, I 874, hkl 3 1 -3
2θ 43.97, I 400, hkl 1 1 4
2θ 41.14, I 307, hkl 0 2 0
2θ 25.85, I 248, hkl 6 0 -3
2θ 27.13, I 201, hkl 2 0 -4
2θ 37.20, I 177, hkl 6 0 -6
2θ 30.29, I 170, hkl 4 0 1
2θ 32.06, I 166, hkl 5 1 -1
2θ 35.89, I 166, hkl 6 0 0

Structural model:
Lattice parameters (Å, degrees): 20.692 4.388 14.500 90.00 133.48 90.00
Space group Cm (No. 8)
Symmetry-distinct sites (fractional):
1 Ac 0.000 0.000 0.000 x2
2 Ac 0.001 0.000 0.723 x2
3 Ac 0.103 0.500 0.609 x2
4 Ac 0.193 0.500 0.049 x2
5 Ac 0.296 0.000 0.927 x2
6 Ac 0.298 0.000 0.651 x2
7 Ac 0.334 0.000 0.373 x2
8 Ac 0.460 0.500 0.273 x2
9 Ag 0.159 0.500 0.260 x2
10 Rh 0.297 0.500 0.789 x2
11 Rh 0.325 0.000 0.157 x2
12 Rh 0.472 0.500 0.493 x2
13 Rh 0.497 0.000 0.854 x2


Theoretical powder XRD pattern of Ac3AgRh2 for Cu Kα (weighted mean of Kα1 and Kα2), from DFT lattice parameters and positions (GGA-PBE).
Peak positions follow from Bragg's law for the DFT cell and can differ from measured ones.

Top 10 peaks for 15 to 90 degrees two-theta, by intensity:
2θ 28.72, I 1000, hkl 0 2 0
2θ 41.05, I 501, hkl 2 2 2
2θ 51.50, I 140, hkl 2 2 -4
2θ 41.83, I 128, hkl 2 0 -4
2θ 50.27, I 118, hkl 6 2 0
2θ 67.27, I 117, hkl 2 4 2
2θ 75.87, I 117, hkl 0 2 6
2θ 25.09, I 109, hkl 1 1 -2
2θ 40.38, I 105, hkl 6 0 0
2θ 24.52, I 95, hkl 3 1 0

Structural model:
Lattice parameters (Å, degrees): 14.079 6.228 8.637 90.00 107.84 90.00
Space group C2/c (No. 15)
Symmetry-distinct sites (fractional):
1 Ac 0.000 0.001 0.250 x4
2 Ac 0.187 0.500 0.094 x8
3 Ag 0.000 0.498 0.750 x4
4 Rh 0.159 0.000 0.080 x8


Theoretical powder XRD pattern of AcAgRh for Cu Kα (weighted mean of Kα1 and Kα2), from DFT lattice parameters and positions (GGA-PBE).
Peak positions follow from Bragg's law for the DFT cell and can differ from measured ones.

Top 10 peaks for 15 to 90 degrees two-theta, by intensity:
2θ 31.64, I 1000, hkl 1 1 1
2θ 33.54, I 597, hkl 1 5 0
2θ 37.17, I 501, hkl 0 6 1
2θ 34.72, I 462, hkl 1 3 1
2θ 56.54, I 269, hkl 1 5 2
2θ 44.12, I 260, hkl 0 0 2
2θ 45.39, I 247, hkl 2 0 0
2θ 60.05, I 243, hkl 2 6 1
2θ 29.84, I 216, hkl 0 6 0
2θ 40.27, I 162, hkl 1 5 1

Structural model:
Lattice parameters (Å, degrees): 3.996 17.963 4.105 90.00 90.00 90.00
Space group Cmcm (No. 63)
Symmetry-distinct sites (fractional):
1 Ac 0.000 0.100 0.250 x4
2 Ag 0.000 0.287 0.250 x4
3 Rh 0.000 0.449 0.250 x4


Theoretical powder XRD pattern of Ac7AgRu3 for Cu Kα (weighted mean of Kα1 and Kα2), from DFT lattice parameters and positions (GGA-PBE).
Peak positions follow from Bragg's law for the DFT cell and can differ from measured ones.

Top 10 peaks for 15 to 90 degrees two-theta, by intensity:
2θ 30.72, I 1000, hkl 2 2 1
2θ 26.97, I 904, hkl 2 0 -2
2θ 25.45, I 734, hkl 2 2 -1
2θ 30.39, I 714, hkl 1 3 1
2θ 32.59, I 495, hkl 0 4 0
2θ 29.98, I 463, hkl 3 1 0
2θ 44.61, I 401, hkl 1 3 -3
2θ 27.84, I 391, hkl 1 3 -1
2θ 53.31, I 375, hkl 5 3 -1
2θ 40.60, I 372, hkl 4 2 -1

Structural model:
Lattice parameters (Å, degrees): 9.726 10.992 7.330 90.00 107.22 90.00
Space group C2/m (No. 12)
Symmetry-distinct sites (fractional):
1 Ac 0.000 0.000 0.000 x2
2 Ac 0.150 0.500 0.222 x4
3 Ac 0.164 0.296 0.730 x8
4 Ag 0.000 0.000 0.500 x2
5 Ru 0.000 0.267 0.000 x4
6 Ru 0.000 0.500 0.500 x2


Theoretical powder XRD pattern of Ac3Ag2Ru for Cu Kα (weighted mean of Kα1 and Kα2), from DFT lattice parameters and positions (GGA-PBE).
Peak positions follow from Bragg's law for the DFT cell and can differ from measured ones.

Top 10 peaks for 15 to 90 degrees two-theta, by intensity:
2θ 30.73, I 1000, hkl 0 2 2
2θ 27.44, I 828, hkl 1 2 0
2θ 45.35, I 694, hkl 2 2 -3
2θ 32.52, I 597, hkl 2 0 -1
2θ 31.60, I 467, hkl 1 2 -2
2θ 31.89, I 367, hkl 1 0 2
2θ 54.99, I 284, hkl 1 4 2
2θ 22.99, I 271, hkl 1 0 -2
2θ 43.57, I 268, hkl 0 4 0
2θ 55.41, I 264, hkl 2 4 -1

Structural model:
Lattice parameters (Å, degrees): 5.507 8.309 8.599 90.00 108.51 90.00
Space group P2_1/m (No. 11)
Symmetry-distinct sites (fractional):
1 Ac 0.000 0.250 0.000 x2
2 Ac 0.365 0.000 0.729 x4
3 Ag 0.204 0.250 0.409 x2
4 Ag 0.204 0.750 0.409 x2
5 Ru 0.499 0.250 0.000 x2


Theoretical powder XRD pattern of Ac2Ag4S5 for Cu Kα (weighted mean of Kα1 and Kα2), from DFT lattice parameters and positions (GGA-PBE).
Peak positions follow from Bragg's law for the DFT cell and can differ from measured ones.

Top 10 peaks for 15 to 90 degrees two-theta, by intensity:
2θ 30.48, I 1000, hkl 0 1 11
2θ 42.34, I 651, hkl 1 1 0
2θ 25.00, I 607, hkl 1 0 4
2θ 26.84, I 595, hkl 1 0 7
2θ 53.02, I 527, hkl 2 0 11
2θ 30.38, I 258, hkl 0 0 18
2θ 44.93, I 254, hkl 1 0 22
2θ 70.12, I 179, hkl 1 2 11
2θ 27.63, I 137, hkl 0 1 8
2θ 36.43, I 130, hkl 1 0 16

Structural model:
Lattice parameters (Å, degrees): 4.2694 4.2694 52.9641 90.00 90.00 120.00
Space group R-3m (No. 166, hexagonal axes)
Symmetry-distinct sites (fractional):
1 Ac 0.0000 0.0000 0.1321 x6
2 Ag 0.0000 0.0000 0.3066 x6
3 Ag 0.0000 0.0000 0.4116 x6
4 S 0.0000 0.0000 0.2321 x6
5 S 0.0000 0.0000 0.3652 x6
6 S 0.0000 0.0000 0.5000 x3


Theoretical powder XRD pattern of AcAg3S3 for Cu Kα (weighted mean of Kα1 and Kα2), from DFT lattice parameters and positions (GGA-PBE).
Peak positions follow from Bragg's law for the DFT cell and can differ from measured ones.

Top 10 peaks for 15 to 90 degrees two-theta, by intensity:
2θ 27.03, I 1000, hkl 1 1 3
2θ 35.08, I 676, hkl 2 -1 6
2θ 41.86, I 518, hkl 3 0 0
2θ 58.13, I 315, hkl 3 0 9
2θ 55.72, I 186, hkl 2 2 6
2θ 50.54, I 181, hkl 4 -2 3
2θ 72.07, I 164, hkl 5 -1 6
2θ 16.07, I 162, hkl 0 1 2
2θ 67.64, I 150, hkl 4 1 3
2θ 45.76, I 147, hkl 1 1 9

Structural model:
Lattice parameters (Å, degrees): 7.4758 7.4758 21.0509 90.00 90.00 120.00
Space group R-3 (No. 148, hexagonal axes)
Symmetry-distinct sites (fractional):
1 Ac 0.0000 0.0000 0.1663 x6
2 Ag 0.0007 0.6740 0.6230 x18
3 S 0.0014 0.6570 0.4188 x18